Computed XRD peak list of TiZnBiP3O12 for Cu Kα X-rays, from a PBE-relaxed structure.

Structural model:
a = 8.448 Å, b = 8.448 Å, c = 8.448 Å
α = 64.05°, β = 64.05°, γ = 64.05°
Fractional positions:
Ti  0.000  0.000  0.000
Ti  0.500  0.500  0.500
Zn  0.156  0.156  0.156
Zn  0.656  0.656  0.656
Bi  0.317  0.317  0.317
Bi  0.817  0.817  0.817
P  0.084  0.390  0.720
P  0.220  0.890  0.584
P  0.390  0.720  0.084
P  0.584  0.220  0.890
P  0.720  0.084  0.390
P  0.890  0.584  0.220
O  0.060  0.408  0.231
O  0.078  0.241  0.914
O  0.085  0.308  0.592
O  0.092  0.808  0.585
O  0.144  0.939  0.772
O  0.231  0.060  0.408
O  0.241  0.914  0.078
O  0.272  0.439  0.644
O  0.308  0.592  0.085
O  0.408  0.231  0.060
O  0.414  0.741  0.578
O  0.439  0.644  0.272
O  0.560  0.731  0.908
O  0.578  0.414  0.741
O  0.585  0.092  0.808
O  0.592  0.085  0.308
O  0.644  0.272  0.439
O  0.731  0.908  0.560
O  0.741  0.578  0.414
O  0.772  0.144  0.939
O  0.808  0.585  0.092
O  0.908  0.560  0.731
O  0.914  0.078  0.241
O  0.939  0.772  0.144

Main lines, in order of rising 2θ (10° ≤ 2θ ≤ 90°):
2θ = 14.4°, I = 47; 2θ = 19.8°, I = 100; 2θ = 21.1°, I = 28; 2θ = 23.9°, I = 32; 2θ = 33.5°, I = 79; 2θ = 34.7°, I = 48; 2θ = 49.0°, I = 37; 2θ = 61.4°, I = 32

Computed XRD peak list of UGaCu for Cu Kα X-rays, from a PBE-relaxed structure.

Structural model:
a = 4.640 Å, b = 4.640 Å, c = 5.661 Å
α = 90.00°, β = 90.00°, γ = 120.00°
Fractional positions:
U  0.000  0.000  0.000
U  0.000  0.000  0.500
Ga  0.333  0.667  0.250
Ga  0.667  0.333  0.750
Cu  0.333  0.667  0.750
Cu  0.667  0.333  0.250

Main lines, in order of rising 2θ (10° ≤ 2θ ≤ 90°):
2θ = 22.1°, I = 55; 2θ = 38.8°, I = 77; 2θ = 38.9°, I = 100; 2θ = 45.1°, I = 9; 2θ = 56.1°, I = 35; 2θ = 70.3°, I = 50; 2θ = 79.3°, I = 20; 2θ = 83.3°, I = 9

Number 2 is which compound?
UGaCu